Simulated X-ray diffraction stick pattern
Compound: Cu4SeS
Radiation: λ = 1.5418 Å (Cu Kα)
Structure: the PBE geometry in Alexandria

Cell: 5.196 5.196 3.904 Å, 90.00 90.00 90.67°
Fractional coordinates of all 6 atoms:
Cu: 0.201 0.799 0.000
Cu: 0.326 0.326 0.500
Cu: 0.674 0.674 0.500
Cu: 0.799 0.201 0.000
Se: 0.000 0.000 0.500
S: 0.500 0.500 0.000

Peak list (12 most intense, 10° ≤ 2θ ≤ 90°, by intensity)
| Position (°2θ) | d [Å] | intensity |
| --- | --- | --- |
| 33.38 | 2.684 | 100 |
| 58.28 | 1.583 | 54 |
| 45.59 | 1.990 | 39 |
| 24.37 | 3.653 | 38 |
| 38.94 | 2.313 | 38 |
| 33.60 | 2.667 | 33 |
| 46.52 | 1.952 | 32 |
| 24.08 | 3.696 | 26 |
| 45.25 | 2.004 | 24 |
| 62.23 | 1.492 | 18 |
| 49.31 | 1.848 | 16 |
| 38.56 | 2.335 | 12 |

---

Simulated X-ray diffraction stick pattern
Compound: Rb4CaF5
Radiation: λ = 1.5418 Å (Cu Kα)
Structure: the PBE geometry in Alexandria

Cell: 7.975 7.975 7.975 Å, 94.55 94.55 147.29°
Fractional coordinates of all 10 atoms:
Rb: 0.091 0.738 0.829
Rb: 0.262 0.091 0.352
Rb: 0.738 0.909 0.648
Rb: 0.909 0.262 0.171
Ca: 0.500 0.500 0.000
F: 0.000 0.000 0.000
F: 0.321 0.613 0.934
F: 0.387 0.321 0.708
F: 0.613 0.679 0.292
F: 0.679 0.387 0.066

Peak list (12 most intense, 10° ≤ 2θ ≤ 90°, by intensity)
| Position (°2θ) | d [Å] | intensity |
| --- | --- | --- |
| 27.08 | 3.292 | 100 |
| 26.04 | 3.422 | 50 |
| 37.15 | 2.420 | 30 |
| 39.78 | 2.266 | 24 |
| 46.58 | 1.950 | 24 |
| 35.99 | 2.496 | 21 |
| 48.48 | 1.878 | 18 |
| 40.15 | 2.246 | 17 |
| 55.85 | 1.646 | 17 |
| 11.56 | 7.652 | 16 |
| 65.22 | 1.430 | 15 |
| 73.66 | 1.286 | 11 |

---

Simulated X-ray diffraction stick pattern
Compound: RbHg2PbBr6
Radiation: λ = 1.5418 Å (Cu Kα)
Structure: the PBE geometry in Alexandria

Cell: 8.314 8.314 8.314 Å, 55.70 55.70 55.70°
Fractional coordinates of all 10 atoms:
Rb: 0.000 0.000 0.000
Hg: 0.207 0.207 0.207
Hg: 0.722 0.722 0.722
Pb: 0.527 0.527 0.527
Br: 0.092 0.839 0.457
Br: 0.392 0.528 0.948
Br: 0.457 0.092 0.839
Br: 0.528 0.948 0.392
Br: 0.839 0.457 0.092
Br: 0.948 0.392 0.528

Peak list (12 most intense, 10° ≤ 2θ ≤ 90°, by intensity)
| Position (°2θ) | d [Å] | intensity |
| --- | --- | --- |
| 34.49 | 2.600 | 100 |
| 15.64 | 5.664 | 66 |
| 31.59 | 2.832 | 60 |
| 22.90 | 3.884 | 54 |
| 21.47 | 4.139 | 53 |
| 40.22 | 2.242 | 49 |
| 26.24 | 3.396 | 43 |
| 39.37 | 2.288 | 31 |
| 69.43 | 1.354 | 23 |
| 46.79 | 1.942 | 21 |
| 45.34 | 2.000 | 20 |
| 45.23 | 2.005 | 17 |

---

Simulated X-ray diffraction stick pattern
Compound: La10Ga3Sb3
Radiation: λ = 1.5418 Å (Cu Kα)
Structure: the PBE geometry in Alexandria

Cell: 9.391 9.391 6.751 Å, 90.00 90.00 120.00°
Fractional coordinates of all 16 atoms:
La: 0.000 0.247 0.000
La: 0.000 0.751 0.500
La: 0.247 0.000 0.000
La: 0.249 0.249 0.500
La: 0.333 0.667 0.244
La: 0.333 0.667 0.756
La: 0.667 0.333 0.244
La: 0.667 0.333 0.756
La: 0.751 0.000 0.500
La: 0.753 0.753 0.000
Ga: 0.000 0.390 0.500
Ga: 0.390 0.000 0.500
Ga: 0.610 0.610 0.500
Sb: 0.000 0.612 0.000
Sb: 0.388 0.388 0.000
Sb: 0.612 0.000 0.000

Peak list (12 most intense, 10° ≤ 2θ ≤ 90°, by intensity)
| Position (°2θ) | d [Å] | intensity |
| --- | --- | --- |
| 31.99 | 2.798 | 100 |
| 32.67 | 2.741 | 89 |
| 33.04 | 2.711 | 52 |
| 29.05 | 3.074 | 34 |
| 50.25 | 1.816 | 28 |
| 47.15 | 1.927 | 24 |
| 28.63 | 3.118 | 22 |
| 52.54 | 1.742 | 17 |
| 26.41 | 3.375 | 16 |
| 50.77 | 1.798 | 15 |
| 65.11 | 1.433 | 14 |
| 63.49 | 1.465 | 14 |

---

Simulated X-ray diffraction stick pattern
Compound: HoEr14Tm
Radiation: λ = 1.5418 Å (Cu Kα)
Structure: the PBE geometry in Alexandria

Cell: 10.950 6.836 6.836 Å, 72.47 90.00 90.00°
Fractional coordinates of all 16 atoms:
Ho: 0.000 0.000 0.000
Er: 0.000 0.516 0.924
Er: 0.000 0.924 0.516
Er: 0.231 0.210 0.210
Er: 0.250 0.139 0.721
Er: 0.250 0.721 0.139
Er: 0.269 0.650 0.650
Er: 0.500 0.344 0.935
Er: 0.500 0.412 0.412
Er: 0.500 0.860 0.860
Er: 0.500 0.935 0.344
Er: 0.731 0.650 0.650
Er: 0.750 0.139 0.721
Er: 0.750 0.721 0.139
Er: 0.769 0.210 0.210
Tm: 0.000 0.448 0.448

Peak list (12 most intense, 10° ≤ 2θ ≤ 90°, by intensity)
| Position (°2θ) | d [Å] | intensity |
| --- | --- | --- |
| 31.96 | 2.801 | 100 |
| 32.71 | 2.737 | 32 |
| 31.33 | 2.855 | 17 |
| 57.91 | 1.592 | 16 |
| 32.48 | 2.757 | 15 |
| 33.52 | 2.674 | 11 |
| 46.76 | 1.943 | 10 |
| 64.33 | 1.448 | 10 |
| 65.34 | 1.428 | 9 |
| 53.71 | 1.707 | 9 |
| 28.57 | 3.124 | 9 |
| 62.40 | 1.488 | 8 |

---

Simulated X-ray diffraction stick pattern
Compound: CaY
Radiation: λ = 1.5418 Å (Cu Kα)
Structure: the PBE geometry in Alexandria

Cell: 3.725 3.725 10.549 Å, 90.00 90.00 90.00°
Fractional coordinates of all 4 atoms:
Ca: 0.250 0.250 0.139
Ca: 0.750 0.750 0.861
Y: 0.250 0.250 0.607
Y: 0.750 0.750 0.393

Peak list (12 most intense, 10° ≤ 2θ ≤ 90°, by intensity)
| Position (°2θ) | d [Å] | intensity |
| --- | --- | --- |
| 29.35 | 3.043 | 100 |
| 34.02 | 2.635 | 49 |
| 58.05 | 1.589 | 36 |
| 48.88 | 1.863 | 32 |
| 35.10 | 2.556 | 20 |
| 79.23 | 1.209 | 12 |
| 81.73 | 1.178 | 11 |
| 60.89 | 1.521 | 10 |
| 67.00 | 1.397 | 7 |
| 55.84 | 1.646 | 6 |
| 87.23 | 1.118 | 6 |
| 61.60 | 1.506 | 5 |

---

Simulated X-ray diffraction stick pattern
Compound: La2In12Cu
Radiation: λ = 1.5418 Å (Cu Kα)
Structure: the PBE geometry in Alexandria

Cell: 6.836 6.836 17.314 Å, 90.00 90.00 90.00°
Fractional coordinates of all 30 atoms:
La: 0.250 0.750 0.243
La: 0.250 0.750 0.757
La: 0.750 0.250 0.243
La: 0.750 0.250 0.757
In: 0.001 0.501 0.085
In: 0.001 0.999 0.915
In: 0.085 0.585 0.571
In: 0.085 0.915 0.429
In: 0.250 0.250 0.183
In: 0.250 0.250 0.342
In: 0.250 0.250 0.658
In: 0.250 0.250 0.817
In: 0.415 0.585 0.429
In: 0.415 0.915 0.571
In: 0.499 0.501 0.915
In: 0.499 0.999 0.085
In: 0.501 0.001 0.915
In: 0.501 0.499 0.085
In: 0.585 0.085 0.429
In: 0.585 0.415 0.571
In: 0.750 0.750 0.183
In: 0.750 0.750 0.342
In: 0.750 0.750 0.658
In: 0.750 0.750 0.817
In: 0.915 0.085 0.571
In: 0.915 0.415 0.429
In: 0.999 0.001 0.085
In: 0.999 0.499 0.915
Cu: 0.250 0.750 0.000
Cu: 0.750 0.250 0.000

Peak list (12 most intense, 10° ≤ 2θ ≤ 90°, by intensity)
| Position (°2θ) | d [Å] | intensity |
| --- | --- | --- |
| 28.07 | 3.179 | 100 |
| 37.20 | 2.417 | 67 |
| 40.94 | 2.205 | 48 |
| 36.26 | 2.478 | 39 |
| 27.66 | 3.225 | 38 |
| 31.01 | 2.884 | 31 |
| 60.54 | 1.529 | 24 |
| 46.99 | 1.934 | 23 |
| 66.48 | 1.406 | 22 |
| 33.16 | 2.701 | 22 |
| 36.95 | 2.433 | 21 |
| 33.40 | 2.682 | 19 |

---

Simulated X-ray diffraction stick pattern
Compound: La3LuBeS7
Radiation: λ = 1.5418 Å (Cu Kα)
Structure: the PBE geometry in Alexandria

Cell: 10.271 10.271 6.240 Å, 90.00 90.00 120.00°
Fractional coordinates of all 24 atoms:
La: 0.140 0.397 0.000
La: 0.257 0.860 0.000
La: 0.397 0.257 0.500
La: 0.603 0.743 0.000
La: 0.743 0.140 0.500
La: 0.860 0.603 0.500
Lu: 0.000 0.000 0.303
Lu: 0.000 0.000 0.803
Be: 0.333 0.667 0.410
Be: 0.667 0.333 0.910
S: 0.086 0.237 0.554
S: 0.115 0.595 0.279
S: 0.151 0.914 0.554
S: 0.237 0.151 0.054
S: 0.333 0.667 0.758
S: 0.405 0.520 0.279
S: 0.480 0.885 0.279
S: 0.520 0.115 0.779
S: 0.595 0.480 0.779
S: 0.667 0.333 0.258
S: 0.763 0.849 0.554
S: 0.849 0.086 0.054
S: 0.885 0.405 0.779
S: 0.914 0.763 0.054

Peak list (12 most intense, 10° ≤ 2θ ≤ 90°, by intensity)
| Position (°2θ) | d [Å] | intensity |
| --- | --- | --- |
| 26.51 | 3.362 | 100 |
| 17.34 | 5.114 | 60 |
| 35.14 | 2.554 | 52 |
| 46.82 | 1.940 | 49 |
| 33.61 | 2.666 | 48 |
| 24.58 | 3.622 | 47 |
| 39.40 | 2.287 | 46 |
| 33.46 | 2.678 | 41 |
| 22.42 | 3.965 | 35 |
| 39.27 | 2.294 | 35 |
| 46.96 | 1.935 | 29 |
| 30.19 | 2.960 | 26 |

---

Simulated X-ray diffraction stick pattern
Compound: Pm5Nd5Dy
Radiation: λ = 1.5418 Å (Cu Kα)
Structure: the PBE geometry in Alexandria

Cell: 7.043 7.045 8.704 Å, 76.09 75.82 70.78°
Fractional coordinates of all 11 atoms:
Pm: 0.000 0.000 0.000
Pm: 0.145 0.646 0.356
Pm: 0.352 0.273 0.721
Pm: 0.648 0.727 0.279
Pm: 0.855 0.354 0.644
Nd: 0.235 0.145 0.273
Nd: 0.302 0.809 0.642
Nd: 0.500 0.500 0.000
Nd: 0.698 0.191 0.358
Nd: 0.765 0.855 0.727
Dy: 0.000 0.500 0.000

Peak list (12 most intense, 10° ≤ 2θ ≤ 90°, by intensity)
| Position (°2θ) | d [Å] | intensity |
| --- | --- | --- |
| 31.16 | 2.870 | 100 |
| 31.65 | 2.827 | 95 |
| 31.05 | 2.880 | 50 |
| 32.32 | 2.770 | 34 |
| 31.53 | 2.837 | 26 |
| 56.12 | 1.639 | 20 |
| 30.63 | 2.919 | 17 |
| 44.42 | 2.040 | 16 |
| 24.31 | 3.662 | 15 |
| 29.44 | 3.034 | 15 |
| 33.96 | 2.639 | 15 |
| 55.26 | 1.662 | 15 |

---

Simulated X-ray diffraction stick pattern
Compound: Y2Ho2Ni15
Radiation: λ = 1.5418 Å (Cu Kα)
Structure: the PBE geometry in Alexandria

Cell: 6.472 6.472 6.472 Å, 82.33 82.33 82.33°
Fractional coordinates of all 19 atoms:
Y: 0.139 0.139 0.139
Y: 0.861 0.861 0.861
Ho: 0.389 0.389 0.389
Ho: 0.611 0.611 0.611
Ni: 0.000 0.500 0.500
Ni: 0.152 0.152 0.667
Ni: 0.152 0.667 0.152
Ni: 0.190 0.500 0.810
Ni: 0.190 0.810 0.500
Ni: 0.333 0.848 0.848
Ni: 0.500 0.000 0.500
Ni: 0.500 0.190 0.810
Ni: 0.500 0.500 0.000
Ni: 0.500 0.810 0.190
Ni: 0.667 0.152 0.152
Ni: 0.810 0.190 0.500
Ni: 0.810 0.500 0.190
Ni: 0.848 0.333 0.848
Ni: 0.848 0.848 0.333

Peak list (12 most intense, 10° ≤ 2θ ≤ 90°, by intensity)
| Position (°2θ) | d [Å] | intensity |
| --- | --- | --- |
| 42.43 | 2.130 | 100 |
| 47.87 | 1.900 | 97 |
| 36.53 | 2.460 | 85 |
| 42.58 | 2.123 | 74 |
| 37.51 | 2.398 | 64 |
| 43.30 | 2.089 | 57 |
| 30.83 | 2.900 | 47 |
| 13.90 | 6.370 | 40 |
| 77.63 | 1.230 | 35 |
| 48.26 | 1.886 | 33 |
| 43.01 | 2.103 | 30 |
| 78.54 | 1.218 | 28 |

---

Simulated X-ray diffraction stick pattern
Compound: Te4MoW2Se2
Radiation: λ = 1.5418 Å (Cu Kα)
Structure: the PBE geometry in Alexandria

Cell: 3.477 3.477 22.826 Å, 90.00 90.00 120.00°
Fractional coordinates of all 9 atoms:
Te: 0.000 0.000 0.106
Te: 0.000 0.000 0.268
Te: 0.000 0.000 0.732
Te: 0.000 0.000 0.894
Mo: 0.000 0.000 0.500
W: 0.667 0.333 0.187
W: 0.667 0.333 0.813
Se: 0.667 0.333 0.429
Se: 0.667 0.333 0.571

Peak list (12 most intense, 10° ≤ 2θ ≤ 90°, by intensity)
| Position (°2θ) | d [Å] | intensity |
| --- | --- | --- |
| 35.72 | 2.514 | 100 |
| 11.63 | 7.609 | 95 |
| 43.70 | 2.071 | 62 |
| 29.67 | 3.011 | 42 |
| 52.65 | 1.738 | 33 |
| 31.97 | 2.800 | 24 |
| 70.73 | 1.332 | 21 |
| 65.26 | 1.430 | 17 |
| 77.22 | 1.235 | 17 |
| 88.55 | 1.104 | 15 |
| 38.12 | 2.361 | 15 |
| 54.11 | 1.695 | 12 |

---

Simulated X-ray diffraction stick pattern
Compound: AgPXe2F10
Radiation: λ = 1.5418 Å (Cu Kα)
Structure: the PBE geometry in Alexandria

Cell: 8.812 8.812 8.812 Å, 120.53 120.53 89.09°
Fractional coordinates of all 28 atoms:
Ag: 0.000 0.500 0.500
Ag: 0.500 0.000 0.500
P: 0.000 0.000 0.000
P: 0.500 0.500 0.000
Xe: 0.000 0.000 0.500
Xe: 0.000 0.500 0.000
Xe: 0.500 0.000 0.000
Xe: 0.500 0.500 0.500
F: 0.030 0.761 0.500
F: 0.077 0.829 0.906
F: 0.130 0.130 0.000
F: 0.171 0.077 0.248
F: 0.239 0.739 0.269
F: 0.261 0.530 0.500
F: 0.329 0.577 0.906
F: 0.370 0.370 0.000
F: 0.423 0.329 0.752
F: 0.470 0.970 0.731
F: 0.530 0.030 0.269
F: 0.577 0.671 0.248
F: 0.630 0.630 0.000
F: 0.671 0.423 0.094
F: 0.739 0.470 0.500
F: 0.761 0.261 0.731
F: 0.829 0.923 0.752
F: 0.870 0.870 0.000
F: 0.923 0.171 0.094
F: 0.970 0.239 0.500

Peak list (12 most intense, 10° ≤ 2θ ≤ 90°, by intensity)
| Position (°2θ) | d [Å] | intensity |
| --- | --- | --- |
| 24.82 | 3.587 | 100 |
| 28.89 | 3.091 | 38 |
| 48.80 | 1.866 | 31 |
| 40.97 | 2.203 | 19 |
| 48.20 | 1.888 | 18 |
| 28.42 | 3.140 | 15 |
| 50.91 | 1.794 | 14 |
| 65.31 | 1.429 | 13 |
| 41.31 | 2.185 | 9 |
| 43.62 | 2.075 | 9 |
| 75.09 | 1.265 | 9 |
| 35.48 | 2.530 | 8 |